Entry 1:
# CaTl2HgSb2
Computed X-ray powder pattern, a wavelength of 1.5418 Å. Input: a PBE-relaxed structure.

Structural model:
a = 4.7392 Å, b = 10.1875 Å, c = 7.7372 Å
α = 90.00°, β = 90.00°, γ = 90.00°
Atoms (fractional coordinates):
Ca: 0.0000 0.0418 0.0000
Ca: 0.0000 0.9582 0.5000
Tl: 0.0000 0.3472 0.3632
Tl: 0.0000 0.6528 0.8632
Tl: 0.5000 0.3964 0.0400
Tl: 0.5000 0.6036 0.5400
Hg: 0.5000 0.1613 0.6728
Hg: 0.5000 0.8387 0.1728
Sb: 0.0000 0.3102 0.7709
Sb: 0.0000 0.6898 0.2709
Sb: 0.5000 0.1200 0.2768
Sb: 0.5000 0.8800 0.7768

Most intense lines, 2θ from 15° to 90°, in order of falling intensity:
two_theta, Rel. int.
28.19, 100
31.11, 73
32.43, 56
37.97, 50
29.81, 49
35.20, 42



Entry 2:
# Ca5ScHg6
Computed X-ray powder pattern, a wavelength of 1.5418 Å. Input: a PBE-relaxed structure.

Structural model:
a = 8.3406 Å, b = 8.3406 Å, c = 7.5061 Å
α = 90.00°, β = 90.00°, γ = 143.15°
Atoms (fractional coordinates):
Ca: 0.0000 0.0000 0.0000
Ca: 0.3314 0.6686 0.0000
Ca: 0.3327 0.6673 0.5000
Ca: 0.6673 0.3327 0.5000
Ca: 0.6686 0.3314 0.0000
Sc: 0.0000 0.0000 0.5000
Hg: 0.1591 0.8409 0.2595
Hg: 0.1591 0.8409 0.7405
Hg: 0.5000 0.5000 0.2672
Hg: 0.5000 0.5000 0.7328
Hg: 0.8409 0.1591 0.2595
Hg: 0.8409 0.1591 0.7405

Most intense lines, 2θ from 15° to 90°, in order of falling intensity:
two_theta, Rel. int.
33.89, 100
34.00, 50
23.86, 50
60.78, 35
23.71, 25
41.87, 23



Entry 3:
# CaSmSc2Hg4
Computed X-ray powder pattern, a wavelength of 1.5418 Å. Input: a PBE-relaxed structure.

Structural model:
a = 8.9809 Å, b = 8.9809 Å, c = 8.9809 Å
α = 33.40°, β = 33.40°, γ = 33.40°
Atoms (fractional coordinates):
Ca: 0.0000 0.0000 0.0000
Sm: 0.5000 0.5000 0.5000
Sc: 0.2518 0.2518 0.2518
Sc: 0.7482 0.7482 0.7482
Hg: 0.1241 0.1241 0.1241
Hg: 0.3749 0.3749 0.3749
Hg: 0.6251 0.6251 0.6251
Hg: 0.8759 0.8759 0.8759

Most intense lines, 2θ from 15° to 90°, in order of falling intensity:
two_theta, Rel. int.
34.64, 100
34.76, 99
62.26, 55
24.34, 54
49.88, 36
62.00, 18



Entry 4:
# Ca3SmHg4
Computed X-ray powder pattern, a wavelength of 1.5418 Å. Input: a PBE-relaxed structure.

Structural model:
a = 8.3969 Å, b = 8.3969 Å, c = 5.3884 Å
α = 108.63°, β = 108.63°, γ = 37.43°
Atoms (fractional coordinates):
Ca: 0.0000 0.0000 0.0000
Ca: 0.2494 0.2494 0.2495
Ca: 0.7506 0.7506 0.7505
Sm: 0.5000 0.5000 0.5000
Hg: 0.1231 0.1231 0.6231
Hg: 0.3769 0.3769 0.8766
Hg: 0.6231 0.6231 0.1234
Hg: 0.8769 0.8769 0.3769

Most intense lines, 2θ from 15° to 90°, in order of falling intensity:
two_theta, Rel. int.
33.56, 100
33.25, 51
59.62, 38
23.35, 28
47.74, 19
60.20, 19



Entry 5:
# Ca3Sm2Hg3
Computed X-ray powder pattern, a wavelength of 1.5418 Å. Input: a PBE-relaxed structure.

Structural model:
a = 11.8281 Å, b = 11.8281 Å, c = 11.8281 Å
α = 161.50°, β = 153.37°, γ = 32.62°
Atoms (fractional coordinates):
Ca: 0.0000 0.0000 0.0000
Ca: 0.3821 0.8821 0.5000
Ca: 0.6179 0.1179 0.5000
Sm: 0.2308 0.2308 0.0000
Sm: 0.7692 0.7692 0.0000
Hg: 0.1199 0.6199 0.5000
Hg: 0.5000 0.5000 0.0000
Hg: 0.8801 0.3801 0.5000

Most intense lines, 2θ from 15° to 90°, in order of falling intensity:
two_theta, Rel. int.
32.77, 100
20.08, 36
32.88, 27
31.52, 22
58.64, 19
46.19, 15



Entry 6:
# CaSm3Hg5
Computed X-ray powder pattern, a wavelength of 1.5418 Å. Input: a PBE-relaxed structure.

Structural model:
a = 9.2294 Å, b = 9.2294 Å, c = 6.5810 Å
α = 90.00°, β = 90.00°, γ = 120.00°
Atoms (fractional coordinates):
Ca: 0.0000 0.0000 0.0000
Ca: 0.0000 0.0000 0.5000
Sm: 0.0000 0.3651 0.2500
Sm: 0.0000 0.6349 0.7500
Sm: 0.3651 0.0000 0.2500
Sm: 0.3651 0.3651 0.7500
Sm: 0.6349 0.0000 0.7500
Sm: 0.6349 0.6349 0.2500
Hg: 0.0000 0.3021 0.7500
Hg: 0.0000 0.6979 0.2500
Hg: 0.3021 0.0000 0.7500
Hg: 0.3021 0.3021 0.2500
Hg: 0.3333 0.6667 0.0000
Hg: 0.3333 0.6667 0.5000
Hg: 0.6667 0.3333 0.0000
Hg: 0.6667 0.3333 0.5000
Hg: 0.6979 0.0000 0.2500
Hg: 0.6979 0.6979 0.7500

Most intense lines, 2θ from 15° to 90°, in order of falling intensity:
two_theta, Rel. int.
33.64, 100
33.45, 97
48.17, 31
60.03, 28
66.83, 28
32.61, 21



Entry 7:
# CaSm2Hg3
Computed X-ray powder pattern, a wavelength of 1.5418 Å. Input: a PBE-relaxed structure.

Structural model:
a = 3.7741 Å, b = 3.7741 Å, c = 11.5199 Å
α = 90.00°, β = 90.00°, γ = 90.00°
Atoms (fractional coordinates):
Ca: 0.0000 0.0000 0.0000
Sm: 0.0000 0.0000 0.3350
Sm: 0.0000 0.0000 0.6650
Hg: 0.5000 0.5000 0.1712
Hg: 0.5000 0.5000 0.5000
Hg: 0.5000 0.5000 0.8288

Most intense lines, 2θ from 15° to 90°, in order of falling intensity:
two_theta, Rel. int.
33.29, 100
33.58, 49
59.86, 38
59.29, 19
48.22, 18
69.89, 12



Entry 8:
# Ca2Sn2Hg5
Computed X-ray powder pattern, a wavelength of 1.5418 Å. Input: a PBE-relaxed structure.

Structural model:
a = 10.9738 Å, b = 10.9738 Å, c = 10.9738 Å
α = 55.31°, β = 146.04°, γ = 137.71°
Atoms (fractional coordinates):
Ca: 0.1422 0.1005 0.2427
Ca: 0.1422 0.3995 0.5417
Ca: 0.8578 0.6005 0.4583
Ca: 0.8578 0.8995 0.7573
Sn: 0.3122 0.3122 0.0000
Sn: 0.3122 0.8122 0.5000
Sn: 0.5369 0.4391 0.5978
Sn: 0.8414 0.9391 0.4022
Hg: 0.1199 0.7594 0.8605
Hg: 0.2945 0.5141 0.1133
Hg: 0.2945 0.6811 0.2804
Hg: 0.4007 0.0141 0.7196
Hg: 0.4007 0.1811 0.8867
Hg: 0.5494 0.0932 0.3149
Hg: 0.5494 0.7345 0.9562
Hg: 0.7783 0.2345 0.6851
Hg: 0.7783 0.5932 0.0438
Hg: 0.8989 0.2594 0.1395

Most intense lines, 2θ from 15° to 90°, in order of falling intensity:
two_theta, Rel. int.
32.98, 100
33.18, 78
36.83, 70
35.81, 57
29.90, 49
17.81, 25